# 1
InAg3Te4Pd: calculated XRD peak list (a wavelength of 1.5418 Å), based on a cell relaxed with GGA-PBE.
Peak positions follow from Bragg's law for the DFT cell and can differ from measured ones.

Cell and atoms:
```
9
Lattice="6.4753 0.0000 0.0000 0.0000 6.4753 0.0000 0.0000 0.0000 6.4753" Properties=species:S:1:pos:R:3 pbc="T T T"
In 0.0000 0.0000 0.0000
Ag 0.0000 3.2376 3.2376
Ag 3.2376 0.0000 3.2376
Ag 3.2376 3.2376 0.0000
Te 1.6489 1.6489 1.6489
Te 1.6489 4.8264 4.8264
Te 4.8264 1.6489 4.8264
Te 4.8264 4.8264 1.6489
Pd 3.2376 3.2376 3.2376
```

Largest 10 diffraction maxima, by angle, 15 to 90 degrees two-theta:
two_theta  intensity
19.39  7
23.80  82
39.36  100
46.51  40
56.88  17
62.52  16
71.36  33
76.43  12
84.67  10
89.55  12

***

# 2
DyHo2CoNi8: calculated XRD peak list (a wavelength of 1.5418 Å), based on a cell relaxed with GGA-PBE.
Peak positions follow from Bragg's law for the DFT cell and can differ from measured ones.

Cell and atoms:
```
12
Lattice="2.4613 1.4210 8.1018 -2.4613 1.4210 8.1018 0.0000 -2.8421 8.1018" Properties=species:S:1:pos:R:3 pbc="T T T"
Dy 0.0000 0.0000 0.0000
Ho 0.0000 0.0000 3.3916
Ho 0.0000 0.0000 20.9140
Co 0.0000 0.0000 12.1528
Ni -1.2315 -0.7110 10.1071
Ni 0.0000 0.0000 8.0959
Ni 0.0000 -1.4220 14.1985
Ni -1.2315 0.7110 14.1985
Ni 1.2315 -0.7110 10.1071
Ni 0.0000 1.4220 10.1071
Ni 0.0000 0.0000 16.2096
Ni 1.2315 0.7110 14.1985
```

Largest 10 diffraction maxima, by angle, 15 to 90 degrees two-theta:
two_theta  intensity
33.28  48
36.31  38
36.51  51
42.58  37
43.01  100
46.28  13
46.52  14
63.67  15
70.19  20
77.57  20

***

# 3
Nd2Y2CI2BrCl2: calculated XRD peak list (a wavelength of 1.5418 Å), based on a cell relaxed with GGA-PBE.
Peak positions follow from Bragg's law for the DFT cell and can differ from measured ones.

Cell and atoms:
```
10
Lattice="9.1678 -1.9733 0.0000 9.1678 1.9733 0.0000 -1.6536 0.0000 8.3069" Properties=species:S:1:pos:R:3 pbc="T T T"
Nd -0.4327 0.0000 2.4538
Nd 17.1148 0.0000 5.8531
Y 5.9938 0.0000 3.6620
Y 10.6883 0.0000 4.6449
C 8.3411 0.0000 4.1535
I 1.7766 0.0000 6.9572
I 14.9055 0.0000 1.3497
Br 9.1678 0.0000 0.0000
Cl 2.4623 0.0000 2.9538
Cl 14.2198 0.0000 5.3532
```

Largest 10 diffraction maxima, by angle, 15 to 90 degrees two-theta:
two_theta  intensity
20.55  20
28.03  16
29.81  45
30.22  31
30.98  100
33.72  26
35.74  15
42.96  25
44.10  29
45.99  18

***

# 4
Pr2NdMg3Ir2Au: calculated XRD peak list (a wavelength of 1.5418 Å), based on a cell relaxed with GGA-PBE.
Peak positions follow from Bragg's law for the DFT cell and can differ from measured ones.

Cell and atoms:
```
9
Lattice="4.1157 0.0000 0.0000 0.0000 6.5788 3.8015 0.0000 -6.5788 3.8015" Properties=species:S:1:pos:R:3 pbc="T T T"
Pr 0.0000 -3.8134 3.8015
Pr 0.0000 3.8134 3.8015
Nd 0.0000 0.0000 2.8127
Mg 2.0579 0.0000 0.3037
Mg 2.0579 -1.6376 5.0523
Mg 2.0579 1.6376 5.0523
Ir 2.0579 -2.1795 2.2081
Ir 2.0579 2.1795 2.2081
Au 0.0000 0.0000 5.9971
```

Largest 10 diffraction maxima, by angle, 15 to 90 degrees two-theta:
two_theta  intensity
23.41  50
25.53  28
32.06  50
34.91  100
41.15  33
42.46  34
44.00  20
47.88  18
61.81  20
65.89  23

***

# 5
NaCu5C6: calculated XRD peak list (a wavelength of 1.5418 Å), based on a cell relaxed with GGA-PBE.
Peak positions follow from Bragg's law for the DFT cell and can differ from measured ones.

Cell and atoms:
```
48
Lattice="7.3336 0.0000 0.0000 0.0000 10.9021 0.0000 0.0000 0.0000 7.2199" Properties=species:S:1:pos:R:3 pbc="T T T"
Na 0.4247 2.7255 1.3124
Na 3.2421 8.1766 4.9223
Na 4.0916 2.7255 2.2976
Na 6.9089 8.1766 5.9075
Cu 0.3845 5.8793 2.3029
Cu 0.3845 10.4739 2.3029
Cu 0.7302 8.1766 3.0870
Cu 1.4171 6.0283 0.0732
Cu 1.4171 10.3249 0.0732
Cu 2.2497 0.5772 3.6831
Cu 2.2497 4.8738 3.6831
Cu 2.9366 2.7255 6.6970
Cu 3.2823 0.4282 5.9128
Cu 3.2823 5.0229 5.9128
Cu 4.0514 5.8793 1.3071
Cu 4.0514 10.4739 1.3071
Cu 4.3970 8.1766 0.5229
Cu 5.0839 6.0283 3.5368
Cu 5.0839 10.3249 3.5368
Cu 5.9165 0.5772 7.1467
Cu 5.9165 4.8738 7.1467
Cu 6.6034 2.7255 4.1329
Cu 6.9491 0.4282 4.9170
Cu 6.9491 5.0229 4.9170
C 0.5897 7.5333 1.0640
C 0.5897 8.8199 1.0640
C 1.0312 6.6048 4.2122
C 1.0312 9.7483 4.2122
C 1.4452 6.1288 5.3490
C 1.4452 10.2244 5.3490
C 2.2216 0.6777 1.7391
C 2.2216 4.7733 1.7391
C 2.6356 1.1538 0.6022
C 2.6356 4.2973 0.6022
C 3.0771 2.0822 4.6740
C 3.0771 3.3688 4.6740
C 4.2565 7.5333 2.5459
C 4.2565 8.8199 2.5459
C 4.6980 6.6048 6.6177
C 4.6980 9.7483 6.6177
C 5.1120 6.1288 5.4808
C 5.1120 10.2244 5.4808
C 5.8884 0.6777 1.8708
C 5.8884 4.7733 1.8708
C 6.3024 1.1538 3.0077
C 6.3024 4.2973 3.0077
C 6.7439 2.0822 6.1559
C 6.7439 3.3688 6.1559
```

Largest 10 diffraction maxima, by angle, 15 to 90 degrees two-theta:
two_theta  intensity
16.26  100
25.63  65
27.28  39
30.11  63
32.86  31
34.88  39
38.70  39
42.41  35
42.89  62
48.59  32

***

Question: What is the formula in the second record?
Answer: DyHo2CoNi8